[1]
# Dy4YSc4
Computed PXRD pattern, λ = 1.5418 Å (Cu Kα). Input: a crystal structure in Alexandria, relaxed with PBE.
Peak positions follow from Bragg's law for the DFT cell and can differ from measured ones.

Largest 8 diffraction maxima, by intensity, 10 to 90 degrees two-theta:
d/Å  2θ (°)  I/Imax
2.792  32.05  100.0
2.423  37.11  33.4
1.460  63.74  26.5
1.708  53.65  22.7
2.410  37.32  16.5
7.268  12.18  15.8
1.454  64.02  14.0
3.326  26.80  13.6

Structural model:
```
9
Lattice="-5.1392 5.1392 2.4095 5.1392 -5.1392 2.4095 5.1392 5.1392 -2.4095" Properties=species:S:1:pos:R:3 pbc="T T T"
Dy 3.3856 0.0000 0.0000
Dy 6.8928 0.0000 0.0000
Dy 0.0000 3.3856 0.0000
Dy 0.0000 6.8928 0.0000
Y 0.0000 0.0000 0.0000
Sc 3.4210 3.4210 0.0000
Sc 1.7182 -1.7182 2.4095
Sc -1.7182 1.7182 2.4095
Sc 1.7182 1.7182 2.4095
```


[2]
# Dy3Y2Sc3
Computed PXRD pattern, λ = 1.5418 Å (Cu Kα). Input: a crystal structure in Alexandria, relaxed with PBE.
Peak positions follow from Bragg's law for the DFT cell and can differ from measured ones.

Largest 8 diffraction maxima, by intensity, 10 to 90 degrees two-theta:
d/Å  2θ (°)  I/Imax
2.645  33.90  100.0
2.783  32.17  49.4
2.902  30.81  42.7
4.639  19.13  31.0
2.883  31.01  23.8
1.727  53.01  23.6
2.637  34.00  23.5
3.437  25.92  21.7

Structural model:
```
8
Lattice="11.5083 -1.7396 0.0000 11.5083 1.7396 0.0000 -1.5153 0.0000 5.7745" Properties=species:S:1:pos:R:3 pbc="T T T"
Dy 0.0000 0.0000 0.0000
Dy 2.1105 0.0000 2.6720
Dy 19.3907 0.0000 3.1024
Y 5.3185 0.0000 1.4063
Y 16.1828 0.0000 4.3681
Sc 8.6152 0.0000 0.2474
Sc 10.7506 0.0000 2.8872
Sc 12.8861 0.0000 5.5271
```


[3]
# Dy4Y5Sc
Computed PXRD pattern, λ = 1.5418 Å (Cu Kα). Input: a crystal structure in Alexandria, relaxed with PBE.
Peak positions follow from Bragg's law for the DFT cell and can differ from measured ones.

Largest 8 diffraction maxima, by intensity, 10 to 90 degrees two-theta:
d/Å  2θ (°)  I/Imax
2.757  32.48  100.0
2.856  31.32  87.4
2.847  31.43  85.2
2.585  34.70  81.4
2.833  31.58  54.0
2.872  31.14  53.7
2.597  34.53  49.2
3.030  29.48  47.7

Structural model:
```
10
Lattice="9.6090 -1.7868 0.0000 9.6090 1.7868 0.0000 -1.6935 0.0000 9.2855" Properties=species:S:1:pos:R:3 pbc="T T T"
Dy 0.7942 0.0000 2.6324
Dy 5.3319 0.0000 4.5641
Dy 12.1926 0.0000 4.7214
Dy 16.7303 0.0000 6.6531
Y 0.8655 0.0000 7.2588
Y 3.8682 0.0000 1.3452
Y 9.6090 0.0000 0.0000
Y 13.6563 0.0000 7.9403
Y 16.6589 0.0000 2.0267
Sc 8.7622 0.0000 4.6427
```


[4]
# Dy6Y3Sc
Computed PXRD pattern, λ = 1.5418 Å (Cu Kα). Input: a crystal structure in Alexandria, relaxed with PBE.
Peak positions follow from Bragg's law for the DFT cell and can differ from measured ones.

Largest 8 diffraction maxima, by intensity, 10 to 90 degrees two-theta:
d/Å  2θ (°)  I/Imax
2.802  31.94  100.0
3.087  28.93  43.1
2.568  34.93  31.3
2.910  30.73  22.5
1.544  59.93  21.8
3.154  28.30  20.9
1.771  51.62  17.7
2.625  34.15  13.9

Structural model:
```
20
Lattice="5.4669 -9.4501 0.0000 5.4669 9.4501 0.0000 0.0000 0.0000 6.1163" Properties=species:S:1:pos:R:3 pbc="T T T"
Dy 2.7827 3.9854 5.6803
Dy 5.4669 8.5237 3.0581
Dy 5.4669 4.1735 1.2580
Dy 3.6667 0.8788 0.6277
Dy 3.6667 -0.8788 3.6858
Dy 2.7827 -3.9854 2.6222
Dy 8.1511 3.9854 5.6803
Dy 7.2671 0.8788 0.6277
Dy 7.2671 -0.8788 3.6858
Dy 5.4669 -4.1735 4.3161
Dy 5.4669 -8.5237 0.0000
Dy 8.1511 -3.9854 2.6222
Y 1.8151 2.0841 3.2087
Y 1.8151 -2.0841 0.1506
Y 5.4669 2.1112 3.8857
Y 5.4669 -2.1112 0.8275
Y 9.1188 2.0841 3.2087
Y 9.1188 -2.0841 0.1506
Sc 5.4669 5.5341 4.2940
Sc 5.4669 -5.5341 1.2359
```


[5]
# DyY2Sc5
Computed PXRD pattern, λ = 1.5418 Å (Cu Kα). Input: a crystal structure in Alexandria, relaxed with PBE.
Peak positions follow from Bragg's law for the DFT cell and can differ from measured ones.

Largest 8 diffraction maxima, by intensity, 10 to 90 degrees two-theta:
d/Å  2θ (°)  I/Imax
2.754  32.51  100.0
2.406  37.38  33.7
1.447  64.37  26.1
5.509  16.09  21.5
1.680  54.64  21.4
2.346  38.37  15.6
4.692  18.91  12.3
1.421  65.70  11.9

Structural model:
```
8
Lattice="-3.4024 3.4024 4.6923 3.4024 -3.4024 4.6923 3.4024 3.4024 -4.6923" Properties=species:S:1:pos:R:3 pbc="T T T"
Dy 0.0000 0.0000 0.0000
Y 0.0000 3.4024 4.6876
Y 3.4024 0.0000 4.6876
Sc 0.0000 0.0000 4.6838
Sc 1.7030 1.7030 2.3416
Sc 1.6994 -1.6994 7.0339
Sc -1.6994 1.6994 7.0339
Sc 1.6994 1.6994 7.0339
```


[6]
# Dy2YSc4
Computed PXRD pattern, λ = 1.5418 Å (Cu Kα). Input: a crystal structure in Alexandria, relaxed with PBE.
Peak positions follow from Bragg's law for the DFT cell and can differ from measured ones.

Largest 8 diffraction maxima, by intensity, 10 to 90 degrees two-theta:
d/Å  2θ (°)  I/Imax
2.529  35.50  100.0
3.369  26.45  62.2
2.763  32.40  40.6
5.526  16.04  33.9
2.552  35.17  31.6
3.084  28.95  29.4
1.773  51.56  22.9
1.546  59.82  19.0

Structural model:
```
7
Lattice="5.3065 -5.5257 0.0000 5.3065 5.5257 0.0000 0.0000 0.0000 3.3693" Properties=species:S:1:pos:R:3 pbc="T T T"
Dy 2.0686 0.0000 0.0000
Dy 8.5444 0.0000 0.0000
Y 5.3065 0.0000 1.6846
Sc 2.6533 2.7628 1.6846
Sc 5.3065 3.0035 0.0000
Sc 2.6533 -2.7628 1.6846
Sc 5.3065 -3.0035 0.0000
```


[7]
# DyY4Sc3
Computed PXRD pattern, λ = 1.5418 Å (Cu Kα). Input: a crystal structure in Alexandria, relaxed with PBE.
Peak positions follow from Bragg's law for the DFT cell and can differ from measured ones.

Largest 8 diffraction maxima, by intensity, 10 to 90 degrees two-theta:
d/Å  2θ (°)  I/Imax
2.823  31.69  100.0
2.441  36.82  65.9
2.806  31.89  32.8
1.730  52.92  22.4
1.722  53.18  22.0
1.473  63.10  21.5
1.468  63.37  12.7
1.412  66.20  11.1

Structural model:
```
8
Lattice="5.9532 -3.4633 0.0000 5.9532 3.4633 0.0000 -1.9985 0.0000 5.6450" Properties=species:S:1:pos:R:3 pbc="T T T"
Dy 0.0000 0.0000 0.0000
Y 2.9766 1.7317 0.0000
Y 1.9953 0.0000 2.8537
Y 2.9766 -1.7317 0.0000
Y 7.9127 0.0000 2.7914
Sc 4.9540 1.7136 2.8225
Sc 5.9532 0.0000 0.0000
Sc 4.9540 -1.7136 2.8225
```


[8]
# Dy3Y7Sc
Computed PXRD pattern, λ = 1.5418 Å (Cu Kα). Input: a crystal structure in Alexandria, relaxed with PBE.
Peak positions follow from Bragg's law for the DFT cell and can differ from measured ones.

Largest 8 diffraction maxima, by intensity, 10 to 90 degrees two-theta:
d/Å  2θ (°)  I/Imax
2.794  32.03  100.0
2.678  33.46  55.3
2.757  32.47  40.2
2.783  32.16  39.0
1.554  59.47  25.0
3.108  28.73  16.9
2.884  31.01  15.7
1.727  53.04  13.6

Structural model:
```
11
Lattice="3.4523 -9.1629 0.0000 3.4523 9.1629 0.0000 -3.4340 0.0000 5.5669" Properties=species:S:1:pos:R:3 pbc="T T T"
Dy 0.0000 0.0000 0.0000
Dy 0.0092 4.5814 2.7835
Dy 0.0092 -4.5814 2.7835
Y 1.7353 7.5802 2.7835
Y 1.7377 2.9275 0.3402
Y 1.7377 -2.9275 0.3402
Y 1.7353 0.0000 2.7835
Y 1.7329 2.9275 5.2267
Y 1.7329 -2.9275 5.2267
Y 1.7353 -7.5802 2.7835
Sc 3.4523 0.0000 0.0000
```


[9]
# DyY12Sc5
Computed PXRD pattern, λ = 1.5418 Å (Cu Kα). Input: a crystal structure in Alexandria, relaxed with PBE.
Peak positions follow from Bragg's law for the DFT cell and can differ from measured ones.

Largest 8 diffraction maxima, by intensity, 10 to 90 degrees two-theta:
d/Å  2θ (°)  I/Imax
2.911  30.71  100.0
2.808  31.86  71.1
2.605  34.42  59.9
2.739  32.69  53.6
2.395  37.55  49.3
1.488  62.39  49.1
1.755  52.12  41.4
1.782  51.28  25.5

Structural model:
```
18
Lattice="3.0393 -5.2647 0.0000 3.0393 5.2647 0.0000 -2.0222 0.0000 16.8605" Properties=species:S:1:pos:R:3 pbc="T T T"
Dy 0.0000 0.0000 0.0000
Y 2.0216 3.4990 2.7915
Y 1.0177 1.7546 5.7248
Y -0.0008 0.0000 11.1358
Y 2.0348 3.4990 14.0690
Y 2.0403 0.0000 2.7922
Y 1.0177 -1.7546 5.7248
Y 3.0387 1.7546 11.1357
Y 2.0162 0.0000 14.0683
Y 2.0216 -3.4990 2.7915
Y 4.0572 0.0000 5.7247
Y 3.0387 -1.7546 11.1357
Y 2.0348 -3.4990 14.0690
Sc 2.0282 3.5096 8.4302
Sc 3.0393 1.7551 0.0000
Sc 2.0282 0.0000 8.4302
Sc 3.0393 -1.7551 0.0000
Sc 2.0282 -3.5096 8.4302
```


[10]
# Dy2Y4Sc
Computed PXRD pattern, λ = 1.5418 Å (Cu Kα). Input: a crystal structure in Alexandria, relaxed with PBE.
Peak positions follow from Bragg's law for the DFT cell and can differ from measured ones.

Largest 8 diffraction maxima, by intensity, 10 to 90 degrees two-theta:
d/Å  2θ (°)  I/Imax
2.911  30.71  100.0
2.801  31.95  57.2
2.731  32.80  42.5
3.344  26.66  23.7
1.610  57.23  20.9
2.924  30.57  19.7
2.625  34.16  18.0
1.996  45.44  17.3

Structural model:
```
14
Lattice="2.7308 -5.9895 0.0000 2.7308 5.9895 0.0000 0.0000 0.0000 13.5631" Properties=species:S:1:pos:R:3 pbc="T T T"
Dy 2.7308 5.1014 11.4480
Dy 2.7308 0.8881 4.6664
Dy 2.7308 -0.8881 8.8967
Dy 2.7308 -5.1014 2.1151
Y 2.7308 4.3573 4.3258
Y 2.7308 3.1093 1.0249
Y 2.7308 2.8802 7.8065
Y 2.7308 1.6322 11.1074
Y 2.7308 -1.6322 2.4558
Y 2.7308 -2.8802 5.7566
Y 2.7308 -3.1093 12.5382
Y 2.7308 -4.3573 9.2373
Sc 0.0000 0.0000 6.7816
Sc 2.7308 0.0000 0.0000
```


[11]
# Dy3ScZn8
Computed PXRD pattern, λ = 1.5418 Å (Cu Kα). Input: a crystal structure in Alexandria, relaxed with PBE.
Peak positions follow from Bragg's law for the DFT cell and can differ from measured ones.

Largest 8 diffraction maxima, by intensity, 10 to 90 degrees two-theta:
d/Å  2θ (°)  I/Imax
2.308  39.03  100.0
2.705  33.12  66.1
2.303  39.11  34.4
1.473  63.13  31.8
2.210  40.83  23.5
1.562  59.13  18.7
1.354  69.42  16.1
1.351  69.61  15.8

Structural model:
```
12
Lattice="2.7077 1.5633 8.8125 -2.7077 1.5633 8.8125 0.0000 -3.1266 8.8125" Properties=species:S:1:pos:R:3 pbc="T T T"
Dy 0.0000 0.0000 0.0000
Dy 0.0000 0.0000 3.3087
Dy 0.0000 0.0000 16.4532
Sc 0.0000 0.0000 13.1760
Zn 0.0000 -1.5596 6.0054
Zn -1.3507 0.7798 6.0054
Zn -1.3446 -0.7763 10.4723
Zn 0.0000 0.0000 8.2384
Zn 1.3507 0.7798 6.0054
Zn 1.3446 -0.7763 10.4723
Zn 0.0000 1.5526 10.4723
Zn 0.0000 0.0000 21.4608
```


[12]
# DySc3Zn8
Computed PXRD pattern, λ = 1.5418 Å (Cu Kα). Input: a crystal structure in Alexandria, relaxed with PBE.
Peak positions follow from Bragg's law for the DFT cell and can differ from measured ones.

Largest 8 diffraction maxima, by intensity, 10 to 90 degrees two-theta:
d/Å  2θ (°)  I/Imax
2.263  39.83  100.0
2.232  40.41  89.8
2.421  37.13  67.9
2.671  33.55  28.4
1.372  68.35  27.8
1.335  70.52  25.5
1.489  62.35  25.1
4.066  21.86  23.7

Structural model:
```
12
Lattice="5.3418 0.0000 0.0000 -2.6709 4.6261 0.0000 0.0000 0.0000 8.5253" Properties=species:S:1:pos:R:3 pbc="T T T"
Dy 0.0000 0.0000 0.0000
Sc 0.0000 0.0000 3.2404
Sc 2.6709 1.5420 4.1785
Sc 2.6709 1.5420 7.3620
Zn 0.0000 1.5115 5.8046
Zn -1.3618 3.8703 5.8046
Zn 0.0000 3.0841 3.7033
Zn 0.0000 3.0841 7.9600
Zn 2.6709 0.0412 1.5990
Zn 1.3711 2.2925 1.5990
Zn 1.3619 3.8703 5.8046
Zn 3.9707 2.2925 1.5990
```


[13]
# DyScZn
Computed PXRD pattern, λ = 1.5418 Å (Cu Kα). Input: a crystal structure in Alexandria, relaxed with PBE.
Peak positions follow from Bragg's law for the DFT cell and can differ from measured ones.

Largest 8 diffraction maxima, by intensity, 10 to 90 degrees two-theta:
d/Å  2θ (°)  I/Imax
2.591  34.63  100.0
2.439  36.84  45.8
3.311  26.93  34.4
1.436  64.95  30.9
5.884  15.06  23.8
1.529  60.56  22.9
1.725  53.09  15.6
1.878  48.48  11.3

Structural model:
```
3
Lattice="-1.7250 1.7250 5.8837 1.7250 -1.7250 5.8837 1.7250 1.7250 -5.8837" Properties=species:S:1:pos:R:3 pbc="T T T"
Dy 0.0000 0.0000 0.0000
Sc 0.0000 0.0000 3.4190
Zn 0.0000 0.0000 7.8002
```